Starting from a structure optimized by DFT (GGA-PBE), the XRD peak list of Mn5Al8 was calculated for Cu Kα.
Neutral-atom scattering factors, no anomalous dispersion.

The 12 most intense peaks (2θ from 5° to 70°), most intense first:
two_theta	Rel. int.	hkl
43.09	100	3 3 0
14.08	64	1 0 1
43.18	58	3 0 3
47.91	20	5 0 2
50.18	11	6 0 0
24.48	10	3 0 0
52.41	10	1 4 3
50.32	8	0 2 4
62.60	7	6 0 3
37.79	5	3 2 1
64.52	4	5 2 3
34.89	4	4 0 1

Crystal structure
a = 12.6015 Å, b = 12.6015 Å, c = 7.6895 Å
α = 90.00°, β = 90.00°, γ = 120.00°
Space group R3m (No. 160, hexagonal axes)
Unique sites:
Mn (0.0000, 0.0000, 0.0000)
Mn (0.0706, 0.1413, 0.7794)
Mn (0.1022, 0.5511, 0.7680)
Mn (0.2196, 0.4391, 0.6172)
Al (0.0000, 0.0000, 0.5384)
Al (0.0068, 0.3871, 0.5154)
Al (0.0967, 0.5483, 0.1349)
Al (0.1465, 0.0733, 0.2587)
Al (0.2140, 0.4280, 0.2766)